Computed X-ray powder pattern
Compound: Nd4MgAl3
Radiation: Cu Kα
Structure: a PBE-relaxed structure
Neutral-atom scattering factors, no anomalous dispersion.

Most intense lines, 10° ≤ 2θ ≤ 90°, low angle first:
2θ/deg, I/Imax
23.55, 19
23.69, 38
33.68, 100
41.56, 18
48.47, 12
54.37, 8
54.60, 16
60.11, 12
60.29, 25
80.90, 11

Structure:
```
Nd4MgAl3
1.0
10.6245 0.0000 0.0000
0.0000 7.5555 0.0000
0.0000 0.0000 5.3126
Nd Mg Al
8 2 6
Cartesian
0.0000 1.8544 0.0000
0.0000 5.7011 0.0000
2.6561 1.8545 2.6505
2.6561 5.7010 2.6505
5.3122 1.8544 0.0000
5.3122 5.7011 0.0000
7.9683 1.8545 2.6621
7.9683 5.7010 2.6621
0.0000 3.7778 2.6563
5.3122 3.7778 2.6563
0.0000 0.0000 2.6563
2.6561 0.0000 5.3052
2.6561 3.7778 5.3064
5.3122 0.0000 2.6563
7.9683 0.0000 0.0074
7.9683 3.7778 0.0062
```

Computed X-ray powder pattern
Compound: Nd4Mg3Al
Radiation: Cu Kα
Structure: a PBE-relaxed structure
Neutral-atom scattering factors, no anomalous dispersion.

Most intense lines, 10° ≤ 2θ ≤ 90°, low angle first:
2θ/deg, I/Imax
23.16, 59
32.99, 100
40.73, 14
47.35, 18
53.30, 12
53.40, 12
58.79, 9
58.96, 28
74.12, 9
78.89, 8

Structure:
```
Nd4Mg3Al
1.0
2.7121 1.5658 8.8878
-2.7121 1.5658 8.8878
0.0000 -3.1317 8.8878
Nd Mg Al
4 3 1
Cartesian
0.0000 0.0000 3.2516
0.0000 0.0000 9.9243
0.0000 0.0000 16.7391
0.0000 0.0000 23.4119
0.0000 0.0000 6.6008
0.0000 0.0000 13.3317
0.0000 0.0000 20.0626
0.0000 0.0000 0.0000
```

Computed X-ray powder pattern
Compound: NdMgAl
Radiation: Cu Kα
Structure: a PBE-relaxed structure
Neutral-atom scattering factors, no anomalous dispersion.

Most intense lines, 10° ≤ 2θ ≤ 90°, low angle first:
2θ/deg, I/Imax
20.44, 32
21.19, 66
24.11, 15
31.81, 47
32.31, 100
36.26, 40
37.59, 23
50.04, 26
62.77, 16
64.53, 13

Structure:
```
NdMgAl
1.0
4.7860 0.0000 0.0000
0.0000 3.6918 0.0000
0.0000 0.0000 8.6881
Nd Mg Al
2 2 2
Cartesian
1.1965 0.0000 1.9228
3.5895 0.0000 6.7653
1.1965 1.8459 5.1186
3.5895 1.8459 3.5695
1.1965 1.8459 7.9804
3.5895 1.8459 0.7077
```

Computed X-ray powder pattern
Compound: MgAl7Ni5
Radiation: Cu Kα
Structure: a PBE-relaxed structure
Neutral-atom scattering factors, no anomalous dispersion.

Most intense lines, 10° ≤ 2θ ≤ 90°, low angle first:
2θ/deg, I/Imax
20.73, 36
21.29, 73
41.83, 55
42.16, 66
42.39, 28
43.37, 36
47.40, 100
47.72, 35
48.50, 26
61.83, 17

Structure:
```
MgAl7Ni5
1.0
-2.5005 4.2845 4.1731
2.5005 -4.2845 4.1731
2.5005 4.2845 -4.1731
Mg Al Ni
1 7 5
Cartesian
0.0000 0.0000 0.0000
2.5005 1.7292 -0.1403
2.5005 0.0000 1.8760
0.0000 0.0000 2.8722
0.0000 2.9273 0.0865
0.0000 0.0000 5.5735
0.0000 5.6418 0.0865
0.0000 2.5553 4.0329
1.2617 -2.0430 2.0274
3.7393 -2.0430 2.0274
1.2617 2.0430 2.0274
3.7393 2.0430 2.0274
0.0000 4.2845 2.2149
```

Computed X-ray powder pattern
Compound: MgAl3Ni4
Radiation: Cu Kα
Structure: a PBE-relaxed structure
Neutral-atom scattering factors, no anomalous dispersion.

Most intense lines, 10° ≤ 2θ ≤ 90°, low angle first:
2θ/deg, I/Imax
30.56, 48
43.71, 98
43.82, 100
54.18, 3
54.37, 9
63.62, 30
72.14, 6
72.30, 7
80.22, 14
80.49, 44

Structure:
```
MgAl3Ni4
1.0
2.0658 1.1927 6.7719
-2.0658 1.1927 6.7719
0.0000 -2.3853 6.7719
Mg Al Ni
1 3 4
Cartesian
0.0000 0.0000 0.0000
0.0000 0.0000 5.0925
0.0000 0.0000 10.1578
0.0000 0.0000 15.2232
0.0000 0.0000 2.6043
0.0000 0.0000 7.6993
0.0000 0.0000 12.6164
0.0000 0.0000 17.7113
```

Computed X-ray powder pattern
Compound: Pm2MgAl12Ni3
Radiation: Cu Kα
Structure: a PBE-relaxed structure
Neutral-atom scattering factors, no anomalous dispersion.

Most intense lines, 10° ≤ 2θ ≤ 90°, low angle first:
2θ/deg, I/Imax
13.13, 26
25.05, 100
26.43, 26
34.15, 29
36.31, 79
41.07, 29
43.25, 41
47.93, 31
51.84, 26
66.52, 31

Structure:
```
Pm2MgAl12Ni3
1.0
4.1840 2.4156 6.1391
-4.1840 2.4156 6.1391
0.0000 -4.8312 6.1391
Pm Mg Al Ni
2 1 12 3
Cartesian
0.0000 0.0000 1.5195
0.0000 0.0000 16.8979
0.0000 0.0000 9.2087
-2.5737 -1.4859 8.3988
0.0000 -1.8313 6.7983
-1.5860 0.9157 6.7983
0.0000 -2.9719 10.0186
-2.5737 1.4859 10.0186
-1.5860 -0.9156 11.6191
1.5860 0.9157 6.7983
2.5737 -1.4859 8.3988
0.0000 2.9719 8.3988
1.5860 -0.9157 11.6191
0.0000 1.8313 11.6191
2.5737 1.4859 10.0186
-2.0920 -1.2078 6.1391
-2.0920 1.2078 12.2783
0.0000 2.4156 6.1391
```